Structure and theoretical PXRD pattern of AgPt3O6 (a cell relaxed with PBE; Cu Kα (λ = 1.5418 Å)).
Neutral-atom scattering factors, no anomalous dispersion.

Top 10 peaks for 5° ≤ 2θ ≤ 70°, sorted by position:
2theta, Rel. int.
29.76, 1000
32.96, 824
34.31, 274
37.42, 432
49.72, 146
51.67, 538
58.66, 163
60.59, 133
60.95, 287
66.53, 206

Crystal structure
```
AgPt3O6
1.0
3.6672 -5.2276 0.0000
3.6672 5.2276 0.0000
0.0000 0.0000 3.1813
Ag Pt O
1 3 6
Direct
0.0000 0.0000 0.0000
0.0000 0.5000 0.5000
0.5000 0.0000 0.5000
0.5000 0.5000 0.0000
0.1636 0.8364 0.5000
0.1674 0.4267 0.0000
0.4267 0.1674 0.0000
0.5733 0.8326 0.0000
0.8326 0.5733 0.0000
0.8364 0.1636 0.5000
```